Record 1
Structure and simulated X-ray diffraction stick pattern of Ce4HfP5 (a cell relaxed with GGA-PBE; Cu Kα (λ = 1.5418 Å)).

Largest 10 diffraction maxima, low angle first, 5° ≤ 2θ ≤ 70°:
2θ (°)	d_spacing	intensity
6.27	14.102	5.2
27.26	3.272	100.0
31.50	2.840	83.6
31.72	2.820	39.7
45.15	2.008	30.1
45.32	2.001	58.2
53.55	1.711	32.4
53.84	1.703	15.8
56.24	1.636	30.5
65.77	1.420	9.7

Structural model:
```
Ce4HfP5
1.0
-2.0080 2.0080 14.1025
2.0080 -2.0080 14.1025
2.0080 2.0080 -14.1025
Ce Hf P
4 1 5
Direct
0.0975 0.0975 0.0000
0.3018 0.3018 0.0000
0.6982 0.6982 0.0000
0.9025 0.9025 0.0000
0.5000 0.5000 0.0000
0.0000 0.0000 0.0000
0.1995 0.1995 0.0000
0.4060 0.4060 0.0000
0.5940 0.5940 0.0000
0.8005 0.8005 0.0000
```


Record 2
Structure and simulated X-ray diffraction stick pattern of CeHfP2Rh5 (a cell relaxed with GGA-PBE; Cu Kα (λ = 1.5418 Å)).

Largest 10 diffraction maxima, low angle first, 5° ≤ 2θ ≤ 70°:
2θ (°)	d_spacing	intensity
8.61	10.272	19.3
23.64	3.764	17.9
26.02	3.424	31.3
28.08	3.178	35.4
32.49	2.755	24.1
35.94	2.499	100.0
41.12	2.195	24.8
44.81	2.022	56.2
47.59	1.911	37.7
65.24	1.430	18.1

Structural model:
```
CeHfP2Rh5
1.0
4.0450 0.0000 0.0000
0.0000 4.0450 0.0000
0.0000 0.0000 10.2720
Ce Hf P Rh
1 1 2 5
Direct
0.0000 0.0000 0.0000
0.0000 0.0000 0.5000
0.5000 0.5000 0.2222
0.5000 0.5000 0.7778
0.0000 0.5000 0.3224
0.0000 0.5000 0.6776
0.5000 0.0000 0.3224
0.5000 0.0000 0.6776
0.5000 0.5000 0.0000
```


Record 3
Structure and simulated X-ray diffraction stick pattern of CeHfTh2P4 (a cell relaxed with GGA-PBE; Cu Kα (λ = 1.5418 Å)).

Largest 10 diffraction maxima, low angle first, 5° ≤ 2θ ≤ 70°:
2θ (°)	d_spacing	intensity
13.51	6.556	4.3
26.03	3.423	3.9
27.21	3.278	99.8
31.52	2.839	100.0
34.43	2.605	2.5
45.17	2.007	73.7
53.54	1.712	50.0
56.12	1.639	25.9
65.76	1.420	8.0
65.88	1.418	4.0

Structural model:
```
CeHfTh2P4
1.0
6.9464 0.0000 0.0000
0.0000 4.0172 0.0000
-2.3078 0.0000 6.5571
Ce Hf Th P
1 1 2 4
Direct
0.0000 0.0000 0.0000
0.5000 0.5000 0.0000
0.0000 0.5000 0.5000
0.5000 0.0000 0.5000
0.2567 0.5000 0.2351
0.2675 0.0000 0.7717
0.7325 0.0000 0.2283
0.7433 0.5000 0.7649
```


Record 4
Structure and simulated X-ray diffraction stick pattern of Rb4Ce3HfSe8 (a cell relaxed with GGA-PBE; Cu Kα (λ = 1.5418 Å)).

Largest 10 diffraction maxima, low angle first, 5° ≤ 2θ ≤ 70°:
2θ (°)	d_spacing	intensity
11.03	8.025	26.5
28.28	3.156	100.0
35.61	2.521	11.1
38.54	2.336	34.0
42.23	2.140	35.1
48.26	1.886	11.3
51.60	1.771	17.7
58.49	1.578	9.7
63.57	1.464	10.3
68.81	1.364	14.4

Structural model:
```
Rb4Ce3HfSe8
1.0
4.2798 2.4709 8.0248
-4.2798 2.4709 8.0248
0.0000 -4.9419 8.0248
Rb Ce Hf Se
4 3 1 8
Direct
0.0000 0.0000 0.0000
0.0000 0.5000 0.5000
0.5000 0.0000 0.5000
0.5000 0.5000 0.0000
0.0000 0.0000 0.5000
0.0000 0.5000 0.0000
0.5000 0.0000 0.0000
0.5000 0.5000 0.5000
0.2352 0.2352 0.2352
0.2552 0.7195 0.7195
0.2805 0.2805 0.7448
0.2805 0.7448 0.2805
0.7195 0.2552 0.7195
0.7195 0.7195 0.2552
0.7448 0.2805 0.2805
0.7648 0.7648 0.7648
```


Record 5
Structure and simulated X-ray diffraction stick pattern of Ce2HfSi2Ru5 (a cell relaxed with GGA-PBE; Cu Kα (λ = 1.5418 Å)).

Largest 10 diffraction maxima, low angle first, 5° ≤ 2θ ≤ 70°:
2θ (°)	d_spacing	intensity
33.53	2.673	39.9
36.34	2.472	53.1
36.94	2.433	33.5
39.07	2.305	100.0
39.54	2.279	32.4
42.09	2.147	22.0
55.73	1.650	16.0
61.39	1.510	14.0
65.06	1.434	12.8
68.37	1.372	16.3

Structural model:
```
Ce2HfSi2Ru5
1.0
10.1925 0.0000 0.0000
0.0000 10.1925 0.0000
0.0000 0.0000 3.2990
Ce Hf Si Ru
4 2 4 10
Direct
0.1742 0.3258 0.0000
0.3258 0.8258 0.0000
0.6742 0.1742 0.0000
0.8258 0.6742 0.0000
0.0000 0.0000 0.0000
0.5000 0.5000 0.0000
0.1237 0.6237 0.0000
0.3763 0.1237 0.0000
0.6237 0.8763 0.0000
0.8763 0.3763 0.0000
0.0000 0.5000 0.5000
0.0685 0.7863 0.5000
0.2137 0.0685 0.5000
0.2863 0.5685 0.5000
0.4315 0.2863 0.5000
0.5000 0.0000 0.5000
0.5685 0.7137 0.5000
0.7137 0.4315 0.5000
0.7863 0.9315 0.5000
0.9315 0.2137 0.5000
```


Record 6
Structure and simulated X-ray diffraction stick pattern of CeHf3Sc7 (a cell relaxed with GGA-PBE; Cu Kα (λ = 1.5418 Å)).

Largest 10 diffraction maxima, low angle first, 5° ≤ 2θ ≤ 70°:
2θ (°)	d_spacing	intensity
11.40	7.763	39.6
15.95	5.557	35.3
19.65	4.519	21.7
30.14	2.965	16.0
34.28	2.616	100.0
34.66	2.588	29.2
39.90	2.259	66.4
57.44	1.604	20.0
57.96	1.591	20.9
68.86	1.363	22.5

Structural model:
```
CeHf3Sc7
1.0
6.4169 0.0000 0.0000
-3.2084 5.5572 0.0000
0.0000 0.0000 7.7634
Ce Hf Sc
1 3 7
Direct
0.0000 0.0000 0.0000
0.1653 0.3306 0.6590
0.1653 0.8347 0.6590
0.6694 0.8347 0.6590
0.0007 0.5004 0.9817
0.3302 0.1651 0.3360
0.3333 0.6667 0.3306
0.4996 0.5004 0.9817
0.4996 0.9993 0.9817
0.8349 0.1651 0.3360
0.8349 0.6698 0.3360
```


Record 7
Structure and simulated X-ray diffraction stick pattern of CeHf3Sc6 (a cell relaxed with GGA-PBE; Cu Kα (λ = 1.5418 Å)).

Largest 10 diffraction maxima, low angle first, 5° ≤ 2θ ≤ 70°:
2θ (°)	d_spacing	intensity
14.20	6.236	21.1
15.99	5.543	29.7
19.74	4.498	23.7
31.59	2.832	35.4
34.69	2.586	50.2
35.63	2.520	38.3
36.05	2.492	100.0
36.25	2.478	68.3
55.78	1.648	25.8
63.31	1.469	18.9

Structural model:
```
CeHf3Sc6
1.0
3.2571 0.0000 0.0000
-0.0119 11.8858 0.0000
-0.0050 -1.1178 12.4724
Ce Hf Sc
2 6 12
Direct
0.9998 0.0371 0.1896
0.0002 0.9629 0.8104
0.9999 0.1735 0.4193
0.9996 0.3727 0.0160
0.0004 0.6273 0.9840
0.0001 0.8265 0.5807
0.5001 0.3314 0.5788
0.4999 0.6686 0.4212
0.0003 0.2375 0.7815
0.9997 0.7625 0.2185
0.0005 0.4334 0.3885
0.4993 0.8552 0.0134
0.4999 0.0732 0.6083
0.4998 0.2767 0.2149
0.4998 0.4655 0.8181
0.5002 0.5345 0.1819
0.5002 0.7233 0.7851
0.5001 0.9268 0.3917
0.5007 0.1448 0.9866
0.9995 0.5666 0.6115
```


Record 8
Structure and simulated X-ray diffraction stick pattern of Ce2HfSe5 (a cell relaxed with GGA-PBE; Cu Kα (λ = 1.5418 Å)).

Largest 10 diffraction maxima, low angle first, 5° ≤ 2θ ≤ 70°:
2θ (°)	d_spacing	intensity
25.21	3.533	95.9
32.15	2.785	49.1
32.41	2.762	100.0
33.08	2.708	48.0
33.95	2.641	28.3
35.00	2.564	90.3
36.89	2.437	51.6
39.75	2.268	30.4
42.95	2.106	52.7
45.19	2.007	44.2

Structural model:
```
Ce2HfSe5
1.0
11.9500 0.0000 0.0000
0.0000 8.4233 0.0000
0.0000 0.0000 7.6855
Ce Hf Se
8 4 20
Direct
0.1736 0.0010 0.0522
0.1736 0.4990 0.0522
0.3264 0.5010 0.5522
0.3264 0.9990 0.5522
0.6736 0.0010 0.4478
0.6736 0.4990 0.4478
0.8264 0.5010 0.9478
0.8264 0.9990 0.9478
0.0084 0.7500 0.5759
0.4916 0.2500 0.0759
0.5084 0.7500 0.9241
0.9916 0.2500 0.4241
0.0053 0.7500 0.9459
0.0775 0.0375 0.6759
0.0775 0.4625 0.6759
0.1895 0.7500 0.3538
0.2094 0.2500 0.3341
0.2906 0.7500 0.8341
0.3105 0.2500 0.8538
0.4225 0.5375 0.1759
0.4225 0.9625 0.1759
0.4947 0.2500 0.4459
0.5053 0.7500 0.5541
0.5775 0.0375 0.8241
0.5775 0.4625 0.8241
0.6895 0.7500 0.1462
0.7094 0.2500 0.1659
0.7906 0.7500 0.6659
0.8105 0.2500 0.6462
0.9225 0.5375 0.3241
0.9225 0.9625 0.3241
0.9947 0.2500 0.0541
```